No. 1
For KHI2, a crystal structure in Alexandria, relaxed with GGA-PBE gives the calculated X-ray powder pattern in this record (Cu Kα, 1.54184 Å).
Kinematic intensities with the Lorentz-polarization factor, no thermal factor.

Atomic structure:
Unit cell a=14.5256 b=5.3345 c=9.8488 alpha=90.00 beta=116.09 gamma=90.00
Space group C2/c (No. 15)
Unique sites:
K 0.2500 0.2500 0.0000
H 0.0000 0.0000 0.0000
I 0.1192 0.2096 0.5974

Largest 10 diffraction maxima, in order of rising 2θ, 5 to 70 degrees two-theta:
| index | two_theta | d (Å) | Rel. int. |
| --- | --- | --- | --- |
| 2 0 -2 | 18.64 | 4.760 | 50 |
| 0 0 2 | 20.08 | 4.423 | 18 |
| 1 1 1 | 22.03 | 4.035 | 63 |
| 3 1 -1 | 24.86 | 3.582 | 100 |
| 4 0 0 | 27.34 | 3.262 | 21 |
| 2 0 2 | 28.95 | 3.084 | 30 |
| 1 1 -3 | 32.68 | 2.740 | 40 |
| 0 2 0 | 33.60 | 2.667 | 19 |
| 6 0 -2 | 37.20 | 2.417 | 18 |
| 5 1 1 | 43.69 | 2.072 | 23 |



No. 2
For K3H2I, a crystal structure in Alexandria, relaxed with GGA-PBE gives the calculated X-ray powder pattern in this record (Cu Kα, 1.54184 Å).
Kinematic intensities with the Lorentz-polarization factor, no thermal factor.

Atomic structure:
Unit cell a=7.3626 b=12.3004 c=7.8773 alpha=90.00 beta=90.00 gamma=90.00
Space group Imma (No. 74)
Unique sites:
K 0.2421 0.0000 0.0000
K 0.2500 0.2500 0.2500
H 0.0000 0.0790 0.2811
I 0.0000 0.2500 0.8695

Largest 10 diffraction maxima, in order of rising 2θ, 5 to 70 degrees two-theta:
| index | two_theta | d (Å) | Rel. int. |
| --- | --- | --- | --- |
| 0 2 0 | 14.40 | 6.150 | 44 |
| 1 0 1 | 16.48 | 5.379 | 80 |
| 1 2 1 | 21.95 | 4.049 | 69 |
| 1 1 2 | 26.67 | 3.342 | 100 |
| 0 2 2 | 26.88 | 3.317 | 54 |
| 2 1 1 | 27.71 | 3.219 | 100 |
| 2 2 0 | 28.25 | 3.159 | 74 |
| 0 4 0 | 29.04 | 3.075 | 79 |
| 1 3 2 | 33.82 | 2.650 | 52 |
| 2 3 1 | 34.67 | 2.587 | 58 |